# CsU2GeO8
Calculated powder diffractogram, Cu Kα (λ = 1.5418 Å). Input: a DFT-relaxed cell (PBE, Alexandria).
Kinematic intensities with the Lorentz-polarization factor, no thermal factor.

Most intense lines, 10° ≤ 2θ ≤ 90°, by angle:
two_theta	Rel. int.
21.93	74
22.85	44
24.62	99
26.00	98
26.35	66
27.62	100
28.40	34
28.70	66
41.51	38
47.73	37

Structural model:
```
CsU2GeO8
1.0
4.499 0.000 0.000
-0.148 4.513 0.000
-0.329 -1.448 10.147
Cs U Ge O
1 2 1 8
direct
0.000 0.000 0.000 Cs
0.412 0.454 0.671 U
0.588 0.546 0.329 U
0.000 0.000 0.500 Ge
0.145 0.723 0.354 O
0.236 0.887 0.646 O
0.303 0.292 0.482 O
0.474 0.570 0.854 O
0.526 0.430 0.146 O
0.697 0.708 0.518 O
0.764 0.113 0.354 O
0.855 0.277 0.646 O
```



# Mg4ZnAu7
Calculated powder diffractogram, Cu Kα (λ = 1.5418 Å). Input: a DFT-relaxed cell (PBE, Alexandria).
Kinematic intensities with the Lorentz-polarization factor, no thermal factor.

Most intense lines, 10° ≤ 2θ ≤ 90°, by angle:
two_theta	Rel. int.
20.10	37
25.19	100
34.78	40
36.03	66
39.28	56
40.43	20
41.47	39
47.28	14
50.93	28
51.90	14

Structural model:
```
Mg4ZnAu7
1.0
5.297 -2.495 0.000
5.297 2.495 0.000
-4.718 0.000 8.843
Mg Zn Au
4 1 7
direct
0.092 0.092 0.275 Mg
0.271 0.271 0.842 Mg
0.729 0.729 0.158 Mg
0.908 0.908 0.725 Mg
0.500 0.500 0.500 Zn
0.000 0.000 0.500 Au
0.136 0.136 0.021 Au
0.291 0.291 0.585 Au
0.429 0.429 0.181 Au
0.571 0.571 0.819 Au
0.709 0.709 0.415 Au
0.864 0.864 0.979 Au
```



# ZnInW2
Calculated powder diffractogram, Cu Kα (λ = 1.5418 Å). Input: a DFT-relaxed cell (PBE, Alexandria).
Kinematic intensities with the Lorentz-polarization factor, no thermal factor.

Most intense lines, 10° ≤ 2θ ≤ 90°, by angle:
two_theta	Rel. int.
16.37	28
38.73	46
38.89	100
39.47	83
40.36	46
56.05	14
57.17	29
69.82	16
70.99	14
72.40	16

Structural model:
```
ZnInW2
1.0
2.818 0.000 0.000
0.000 4.469 0.000
-0.892 0.000 5.415
Zn In W
1 1 2
direct
0.000 0.000 0.000 Zn
0.915 0.500 0.265 In
0.341 0.500 0.771 W
0.520 0.000 0.539 W
```



# AlZn5
Calculated powder diffractogram, Cu Kα (λ = 1.5418 Å). Input: a DFT-relaxed cell (PBE, Alexandria).
Kinematic intensities with the Lorentz-polarization factor, no thermal factor.

Most intense lines, 10° ≤ 2θ ≤ 90°, by angle:
two_theta	Rel. int.
11.51	11
35.00	33
38.35	40
40.08	27
43.36	100
52.89	19
65.22	10
68.58	9
72.81	20
78.26	12

Structural model:
```
AlZn5
1.0
4.695 0.000 0.000
0.000 1.307 7.691
0.000 -1.307 7.691
Al Zn
1 5
direct
0.000 0.000 0.000 Al
0.000 0.334 0.334 Zn
0.000 0.672 0.672 Zn
0.500 0.204 0.204 Zn
0.500 0.538 0.538 Zn
0.500 0.867 0.867 Zn
```



# Cs8RbNa4
Calculated powder diffractogram, Cu Kα (λ = 1.5418 Å). Input: a DFT-relaxed cell (PBE, Alexandria).
Kinematic intensities with the Lorentz-polarization factor, no thermal factor.

Most intense lines, 10° ≤ 2θ ≤ 90°, by angle:
two_theta	Rel. int.
16.01	36
19.66	66
22.72	100
25.46	65
30.22	26
36.32	21
38.14	21
39.91	51
46.43	16
47.93	17

Structural model:
```
Cs8RbNa4
1.0
-7.829 7.829 4.513
7.829 -7.829 4.513
7.829 7.829 -4.513
Cs Rb Na
8 1 4
direct
0.000 0.216 0.216 Cs
0.000 0.784 0.784 Cs
0.175 0.500 0.675 Cs
0.216 0.000 0.216 Cs
0.500 0.175 0.675 Cs
0.500 0.825 0.325 Cs
0.784 0.000 0.784 Cs
0.825 0.500 0.325 Cs
0.500 0.500 0.000 Rb
0.000 0.000 0.500 Na
0.000 0.500 0.000 Na
0.500 0.000 0.000 Na
0.500 0.500 0.500 Na
```



# Ho5Te5Ru
Calculated powder diffractogram, Cu Kα (λ = 1.5418 Å). Input: a DFT-relaxed cell (PBE, Alexandria).
Kinematic intensities with the Lorentz-polarization factor, no thermal factor.

Most intense lines, 10° ≤ 2θ ≤ 90°, by angle:
two_theta	Rel. int.
10.97	19
29.19	88
29.32	100
29.66	89
41.84	95
42.19	68
42.36	31
51.91	31
52.35	34
76.90	25

Structural model:
```
Ho5Te5Ru
1.0
6.852 -3.046 0.000
6.852 3.046 0.000
-2.785 0.000 8.068
Ho Te Ru
5 5 1
direct
0.000 0.000 0.000 Ho
0.352 0.352 0.696 Ho
0.353 0.353 0.149 Ho
0.647 0.647 0.851 Ho
0.648 0.648 0.304 Ho
0.166 0.166 0.824 Te
0.181 0.181 0.333 Te
0.500 0.500 0.500 Te
0.819 0.819 0.667 Te
0.834 0.834 0.176 Te
0.500 0.500 0.000 Ru
```



# Zr3ZnCu2
Calculated powder diffractogram, Cu Kα (λ = 1.5418 Å). Input: a DFT-relaxed cell (PBE, Alexandria).
Kinematic intensities with the Lorentz-polarization factor, no thermal factor.

Most intense lines, 10° ≤ 2θ ≤ 90°, by angle:
two_theta	Rel. int.
32.71	15
36.90	36
39.23	100
42.87	32
45.61	9
63.85	8
66.49	34
68.04	9
80.00	17
83.87	6

Structural model:
```
Zr3ZnCu2
1.0
0.000 5.966 5.966
5.966 0.000 5.966
5.966 5.966 0.000
Zr Zn Cu
12 4 8
direct
0.072 0.072 0.678 Zr
0.072 0.678 0.072 Zr
0.072 0.678 0.678 Zr
0.322 0.322 0.928 Zr
0.322 0.928 0.322 Zr
0.322 0.928 0.928 Zr
0.678 0.072 0.072 Zr
0.678 0.072 0.678 Zr
0.678 0.678 0.072 Zr
0.928 0.322 0.322 Zr
0.928 0.322 0.928 Zr
0.928 0.928 0.322 Zr
0.000 0.500 0.500 Zn
0.500 0.000 0.500 Zn
0.500 0.500 0.000 Zn
0.500 0.500 0.500 Zn
0.294 0.294 0.294 Cu
0.294 0.294 0.617 Cu
0.294 0.617 0.294 Cu
0.383 0.706 0.706 Cu
0.617 0.294 0.294 Cu
0.706 0.383 0.706 Cu
0.706 0.706 0.383 Cu
0.706 0.706 0.706 Cu
```



# MgScPb3
Calculated powder diffractogram, Cu Kα (λ = 1.5418 Å). Input: a DFT-relaxed cell (PBE, Alexandria).
Kinematic intensities with the Lorentz-polarization factor, no thermal factor.

Most intense lines, 10° ≤ 2θ ≤ 90°, by angle:
two_theta	Rel. int.
28.50	58
28.73	49
31.11	43
31.50	100
34.21	79
34.75	46
35.11	40
40.78	51
49.19	36
53.76	36

Structural model:
```
MgScPb3
1.0
13.115 0.000 0.000
0.000 6.301 0.000
0.000 0.000 6.398
Mg Sc Pb
4 4 12
direct
0.121 0.250 0.000 Mg
0.121 0.250 0.500 Mg
0.879 0.750 0.000 Mg
0.879 0.750 0.500 Mg
0.308 0.003 0.250 Sc
0.308 0.497 0.750 Sc
0.692 0.503 0.250 Sc
0.692 0.997 0.750 Sc
0.080 0.680 0.750 Pb
0.080 0.820 0.250 Pb
0.281 0.509 0.250 Pb
0.281 0.991 0.750 Pb
0.499 0.250 0.000 Pb
0.499 0.250 0.500 Pb
0.501 0.750 0.000 Pb
0.501 0.750 0.500 Pb
0.719 0.009 0.250 Pb
0.719 0.491 0.750 Pb
0.920 0.180 0.750 Pb
0.920 0.320 0.250 Pb
```



# CdAs3O9
Calculated powder diffractogram, Cu Kα (λ = 1.5418 Å). Input: a DFT-relaxed cell (PBE, Alexandria).
Kinematic intensities with the Lorentz-polarization factor, no thermal factor.

Most intense lines, 10° ≤ 2θ ≤ 90°, by angle:
two_theta	Rel. int.
16.93	11
23.45	82
24.60	100
26.72	24
27.30	33
34.24	57
43.68	17
51.95	13
54.63	12
60.05	11

Structural model:
```
CdAs3O9
1.0
4.941 -5.316 0.000
4.941 5.316 0.000
0.000 0.000 7.587
Cd As O
2 6 18
direct
0.191 0.191 0.000 Cd
0.809 0.809 0.500 Cd
0.277 0.688 0.962 As
0.280 0.280 0.500 As
0.312 0.723 0.538 As
0.688 0.277 0.038 As
0.720 0.720 0.000 As
0.723 0.312 0.462 As
0.123 0.843 0.538 O
0.155 0.239 0.685 O
0.157 0.877 0.962 O
0.161 0.496 0.037 O
0.239 0.155 0.315 O
0.271 0.512 0.421 O
0.366 0.634 0.750 O
0.488 0.729 0.079 O
0.496 0.161 0.963 O
0.504 0.839 0.463 O
0.512 0.271 0.579 O
0.634 0.366 0.250 O
0.729 0.488 0.921 O
0.761 0.845 0.815 O
0.839 0.504 0.537 O
0.843 0.123 0.462 O
0.845 0.761 0.185 O
0.877 0.157 0.038 O
```



# CoMoRu2
Calculated powder diffractogram, Cu Kα (λ = 1.5418 Å). Input: a DFT-relaxed cell (PBE, Alexandria).
Kinematic intensities with the Lorentz-polarization factor, no thermal factor.

Most intense lines, 10° ≤ 2θ ≤ 90°, by angle:
two_theta	Rel. int.
41.29	100
41.39	99
47.94	32
48.19	63
70.34	49
84.81	24
85.07	24
85.27	23
89.68	11
89.95	11

Structural model:
```
CoMoRu2
1.0
2.675 -2.666 0.000
2.675 2.666 0.000
-2.674 0.000 3.795
Co Mo Ru
1 1 2
direct
0.000 0.000 0.000 Co
0.751 0.249 0.500 Mo
0.250 0.750 0.500 Ru
0.500 0.500 0.000 Ru
```



# TbSm3Dy2
Calculated powder diffractogram, Cu Kα (λ = 1.5418 Å). Input: a DFT-relaxed cell (PBE, Alexandria).
Kinematic intensities with the Lorentz-polarization factor, no thermal factor.

Most intense lines, 10° ≤ 2θ ≤ 90°, by angle:
two_theta	Rel. int.
27.99	47
30.90	100
31.02	86
31.24	29
32.51	95
32.81	70
35.17	68
51.90	40
61.15	54
62.26	43

Structural model:
```
TbSm3Dy2
1.0
9.669 0.000 0.000
0.000 3.561 0.000
-0.792 0.000 11.530
Tb Sm Dy
2 6 4
direct
0.242 0.250 0.355 Tb
0.758 0.750 0.645 Tb
0.076 0.750 0.120 Sm
0.238 0.750 0.860 Sm
0.401 0.750 0.603 Sm
0.599 0.250 0.397 Sm
0.762 0.250 0.140 Sm
0.924 0.250 0.880 Sm
0.082 0.250 0.620 Dy
0.443 0.750 0.143 Dy
0.557 0.250 0.857 Dy
0.918 0.750 0.380 Dy
```



# La6Tc2Pd
Calculated powder diffractogram, Cu Kα (λ = 1.5418 Å). Input: a DFT-relaxed cell (PBE, Alexandria).
Kinematic intensities with the Lorentz-polarization factor, no thermal factor.

Most intense lines, 10° ≤ 2θ ≤ 90°, by angle:
two_theta	Rel. int.
19.49	23
28.29	100
36.69	52
43.92	38
47.87	24
53.07	17
58.52	13
71.27	13
72.50	15
75.97	12

Structural model:
```
La6Tc2Pd
1.0
7.141 0.000 0.000
-3.571 6.184 0.000
0.000 0.000 6.733
La Tc Pd
6 2 1
direct
0.000 0.344 0.235 La
0.000 0.656 0.765 La
0.344 0.000 0.235 La
0.344 0.344 0.765 La
0.656 0.000 0.765 La
0.656 0.656 0.235 La
0.333 0.667 0.000 Tc
0.667 0.333 0.000 Tc
0.000 0.000 0.500 Pd
```